Diffraction record for Cs12TlAu5. The PXRD pattern is computed, not measured: it uses a DFT-relaxed cell (PBE, Alexandria) and CuKα.
No peak broadening, texture or thermal motion is included.

The 6 most intense peaks (2θ from 15° to 90°), low angle first:
d 3.709, 24.0 deg, intensity 100.0
d 3.488, 25.5 deg, intensity 69.6
d 3.457, 25.8 deg, intensity 78.8
d 3.399, 26.2 deg, intensity 49.9
d 3.358, 26.5 deg, intensity 48.2
d 2.577, 34.8 deg, intensity 36.5

Cell and atoms:
a = 12.3943 Å, b = 12.7996 Å, c = 13.4064 Å
α = 90.00°, β = 90.00°, γ = 90.00°
Space group Immm (No. 71)
One atom of each set of equivalent atoms:
Cs 0.0000 0.1888 0.2078 x8
Cs 0.1885 0.5000 0.1713 x8
Cs 0.1972 0.3185 0.5000 x8
Tl 0.0000 0.0000 0.5000 x2
Au 0.0000 0.0000 0.0000 x2
Au 0.0000 0.3806 0.0000 x4
Au 0.0000 0.5000 0.3897 x4